No. 1
The following is a simulated PXRD pattern of Mg14NiW. It was derived from a cell relaxed with GGA-PBE, using Cu Kα (λ = 1.5418 Å).
Intensities are scaled so that the largest is 100.

Peak list (10 most intense, 2θ = 10–90°, in order of falling intensity)
38.36°, intensity 100.0
16.56°, intensity 59.5
24.70°, intensity 37.1
33.47°, intensity 31.0
18.91°, intensity 26.6
36.87°, intensity 24.2
50.65°, intensity 18.8
72.40°, intensity 18.3
67.41°, intensity 18.0
34.35°, intensity 17.8

Structural model:
```
Mg14NiW
1.0
6.1824 0.0000 0.0000
-3.0912 5.3541 0.0000
0.0000 0.0000 9.7509
Mg Ni W
14 1 1
Direct
0.0000 0.0000 0.2472
0.0000 0.0000 0.7528
0.0197 0.5099 0.2520
0.0197 0.5099 0.7480
0.3320 0.1660 0.5000
0.3372 0.1686 0.0000
0.4901 0.5099 0.2520
0.4901 0.5099 0.7480
0.4901 0.9803 0.2520
0.4901 0.9803 0.7480
0.8314 0.1686 0.0000
0.8314 0.6628 0.0000
0.8340 0.1660 0.5000
0.8340 0.6680 0.5000
0.3333 0.6667 0.5000
0.3333 0.6667 0.0000
```

No. 2
The following is a simulated PXRD pattern of Sm2AlNi2. It was derived from a cell relaxed with GGA-PBE, using Cu Kα (λ = 1.5418 Å).
Intensities are scaled so that the largest is 100.

Peak list (10 most intense, 2θ = 10–90°, in order of falling intensity)
34.28°, intensity 100.0
26.83°, intensity 81.8
38.30°, intensity 53.5
39.72°, intensity 50.8
41.21°, intensity 45.2
35.89°, intensity 35.7
42.77°, intensity 35.3
69.16°, intensity 32.6
59.78°, intensity 29.8
57.03°, intensity 18.8

Structural model:
```
Sm2AlNi2
1.0
-2.1143 2.6863 4.2406
2.1143 -2.6863 4.2406
2.1143 2.6863 -4.2406
Sm Al Ni
2 1 2
Direct
0.2018 0.2018 0.0000
0.7982 0.7982 0.0000
0.5000 0.0000 0.5000
0.2390 0.5000 0.7390
0.7610 0.5000 0.2610
```

No. 3
The following is a simulated PXRD pattern of PbAu3. It was derived from a cell relaxed with GGA-PBE, using Cu Kα (λ = 1.5418 Å).
Intensities are scaled so that the largest is 100.

Peak list (5 most intense, 2θ = 10–90°, in order of falling intensity)
36.49°, intensity 100.0
65.68°, intensity 37.0
52.57°, intensity 17.9
88.88°, intensity 17.7
77.54°, intensity 11.8

Structural model:
```
PbAu3
1.0
0.0000 3.4820 3.4820
3.4820 0.0000 3.4820
3.4820 3.4820 0.0000
Pb Au
1 3
Direct
0.0000 0.0000 0.0000
0.2500 0.2500 0.2500
0.5000 0.5000 0.5000
0.7500 0.7500 0.7500
```

No. 4
The following is a simulated PXRD pattern of RbMg14Zr. It was derived from a cell relaxed with GGA-PBE, using Cu Kα (λ = 1.5418 Å).
Intensities are scaled so that the largest is 100.

Peak list (10 most intense, 2θ = 10–90°, in order of falling intensity)
35.67°, intensity 100.0
31.05°, intensity 28.3
15.38°, intensity 27.2
23.10°, intensity 25.0
34.66°, intensity 23.0
66.88°, intensity 18.7
55.24°, intensity 17.8
62.77°, intensity 16.9
47.21°, intensity 16.9
67.51°, intensity 14.3

Structural model:
```
RbMg14Zr
1.0
6.6516 0.0000 0.0000
-3.3258 5.7605 0.0000
0.0000 0.0000 10.3532
Rb Mg Zr
1 14 1
Direct
0.0000 0.0000 0.0000
0.9999 0.5000 0.5000
0.0096 0.5048 0.0000
0.1710 0.3420 0.2651
0.1710 0.3420 0.7349
0.1710 0.8290 0.2651
0.1710 0.8290 0.7349
0.4952 0.5048 0.0000
0.4952 0.9904 0.0000
0.5000 0.0001 0.5000
0.5000 0.5000 0.5000
0.6580 0.8290 0.2651
0.6580 0.8290 0.7349
0.6667 0.3333 0.2481
0.6667 0.3333 0.7519
0.0000 0.0000 0.5000
```